Diffraction record for LaTbErTh2. The powder XRD pattern is calculated, not measured: it uses a structure optimized by DFT (GGA-PBE) and Cu Kα X-rays.
Intensities are scaled so that the largest is 100.

Cell and atoms:
```
LaTbErTh2
1.0
4.2822 -5.9490 0.0000
4.2822 5.9490 0.0000
0.0000 0.0000 7.0915
La Tb Er Th
2 2 2 4
Cartesian
4.2822 3.0437 5.3186
4.2822 -3.0437 1.7729
4.2822 2.5109 1.7729
4.2822 -2.5109 5.3186
4.2822 5.6655 1.7729
4.2822 -5.6655 5.3186
2.6835 0.0000 0.0000
2.6835 0.0000 3.5457
5.8809 0.0000 0.0000
5.8809 0.0000 3.5457
```

Principal peaks in the range 10 to 90 degrees two-theta, most intense first:
2θ/deg, Rel. int.
32.79, 100
29.32, 71
30.04, 68
45.06, 65
25.63, 58
14.89, 58
32.25, 52
35.54, 46
38.87, 46
28.25, 45
64.86, 20
51.55, 20